Calculated X-ray powder pattern of SnPHO5 for Cu Kα, from the PBE geometry in Alexandria.
Lines closer than 0.1° are merged.

Peak list (10 most intense, 10° ≤ 2θ ≤ 90°, low angle first)
| 2θ (°) | d/Å | I_rel |
| --- | --- | --- |
| 17.92 | 4.951 | 100 |
| 18.10 | 4.900 | 84 |
| 21.86 | 4.065 | 43 |
| 25.69 | 3.468 | 60 |
| 26.11 | 3.413 | 65 |
| 28.87 | 3.093 | 54 |
| 34.11 | 2.628 | 31 |
| 34.95 | 2.567 | 31 |
| 36.32 | 2.473 | 28 |
| 53.14 | 1.723 | 23 |

Structural model:
Cell: 5.359 5.363 7.580 Å, 106.25 108.18 98.68°
Atoms (fractional coordinates):
Sn (0.000, 0.000, 0.000)
Sn (0.500, 0.500, 0.500)
P (0.094, 0.430, 0.762)
P (0.906, 0.570, 0.238)
H (0.344, 0.977, 0.314)
H (0.656, 0.023, 0.686)
O (0.177, 0.292, 0.916)
O (0.180, 0.738, 0.862)
O (0.224, 0.675, 0.349)
O (0.232, 0.349, 0.612)
O (0.343, 0.132, 0.265)
O (0.657, 0.868, 0.735)
O (0.768, 0.651, 0.388)
O (0.776, 0.325, 0.651)
O (0.820, 0.262, 0.138)
O (0.823, 0.708, 0.084)

Calculated X-ray powder pattern of SrP2H4O6 for Cu Kα, from the PBE geometry in Alexandria.
Lines closer than 0.1° are merged.

Peak list (10 most intense, 10° ≤ 2θ ≤ 90°, low angle first)
| 2θ (°) | d/Å | I_rel |
| --- | --- | --- |
| 11.19 | 7.904 | 100 |
| 15.07 | 5.881 | 16 |
| 21.57 | 4.120 | 20 |
| 22.65 | 3.926 | 31 |
| 26.47 | 3.367 | 31 |
| 27.05 | 3.296 | 40 |
| 27.23 | 3.275 | 42 |
| 27.79 | 3.210 | 31 |
| 30.31 | 2.949 | 16 |
| 31.88 | 2.807 | 31 |

Structural model:
Cell: 5.872 7.254 8.387 Å, 99.07 103.70 106.84°
Atoms (fractional coordinates):
Sr (0.165, 0.285, 0.460)
Sr (0.835, 0.715, 0.540)
P (0.176, 0.754, 0.283)
P (0.450, 0.738, 0.827)
P (0.550, 0.262, 0.173)
P (0.824, 0.246, 0.717)
H (0.083, 0.708, 0.105)
H (0.279, 0.035, 0.945)
H (0.329, 0.613, 0.916)
H (0.445, 0.063, 0.714)
H (0.555, 0.937, 0.286)
H (0.671, 0.387, 0.084)
H (0.721, 0.965, 0.055)
H (0.917, 0.292, 0.895)
O (0.083, 0.570, 0.347)
O (0.100, 0.923, 0.358)
O (0.283, 0.135, 0.045)
O (0.298, 0.874, 0.782)
O (0.472, 0.812, 0.320)
O (0.490, 0.616, 0.679)
O (0.510, 0.384, 0.321)
O (0.528, 0.188, 0.680)
O (0.702, 0.126, 0.218)
O (0.717, 0.865, 0.955)
O (0.900, 0.077, 0.642)
O (0.917, 0.430, 0.653)

Calculated X-ray powder pattern of SrP2H6O9 for Cu Kα, from the PBE geometry in Alexandria.
Lines closer than 0.1° are merged.

Peak list (10 most intense, 10° ≤ 2θ ≤ 90°, low angle first)
| 2θ (°) | d/Å | I_rel |
| --- | --- | --- |
| 12.46 | 7.104 | 21 |
| 14.48 | 6.117 | 100 |
| 18.90 | 4.696 | 38 |
| 21.68 | 4.099 | 46 |
| 22.58 | 3.937 | 32 |
| 26.58 | 3.354 | 62 |
| 28.42 | 3.141 | 22 |
| 28.74 | 3.106 | 62 |
| 31.64 | 2.828 | 57 |
| 40.98 | 2.202 | 22 |

Structural model:
Cell: 6.729 7.395 8.692 Å, 102.31 110.13 95.38°
Atoms (fractional coordinates):
Sr (0.093, 0.256, 0.189)
Sr (0.907, 0.744, 0.811)
P (0.256, 0.804, 0.262)
P (0.346, 0.910, 0.628)
P (0.654, 0.090, 0.372)
P (0.744, 0.196, 0.738)
H (0.233, 0.509, 0.737)
H (0.255, 0.464, 0.910)
H (0.287, 0.150, 0.900)
H (0.346, 0.327, 0.573)
H (0.346, 0.535, 0.558)
H (0.479, 0.305, 0.046)
H (0.521, 0.695, 0.954)
H (0.654, 0.465, 0.442)
H (0.654, 0.673, 0.427)
H (0.713, 0.850, 0.100)
H (0.745, 0.536, 0.090)
H (0.767, 0.491, 0.263)
O (0.137, 0.900, 0.131)
O (0.201, 0.887, 0.430)
O (0.201, 0.924, 0.726)
O (0.230, 0.596, 0.224)
O (0.246, 0.570, 0.855)
O (0.249, 0.413, 0.534)
O (0.319, 0.266, 0.991)
O (0.485, 0.120, 0.674)
O (0.492, 0.766, 0.640)
O (0.508, 0.234, 0.360)
O (0.515, 0.880, 0.326)
O (0.681, 0.734, 0.009)
O (0.751, 0.587, 0.466)
O (0.754, 0.430, 0.145)
O (0.770, 0.404, 0.776)
O (0.799, 0.076, 0.274)
O (0.799, 0.113, 0.570)
O (0.863, 0.100, 0.869)

Calculated X-ray powder pattern of SrP2H4O4 for Cu Kα, from the PBE geometry in Alexandria.
Lines closer than 0.1° are merged.

Peak list (10 most intense, 10° ≤ 2θ ≤ 90°, low angle first)
| 2θ (°) | d/Å | I_rel |
| --- | --- | --- |
| 10.95 | 8.083 | 100 |
| 26.33 | 3.385 | 42 |
| 27.13 | 3.287 | 44 |
| 29.76 | 3.002 | 25 |
| 31.78 | 2.815 | 6 |
| 34.35 | 2.611 | 21 |
| 35.40 | 2.535 | 18 |
| 42.60 | 2.123 | 14 |
| 45.22 | 2.005 | 9 |
| 70.10 | 1.342 | 7 |

Structural model:
Cell: 8.630 8.630 6.006 Å, 92.30 92.30 40.73°
Atoms (fractional coordinates):
Sr (0.250, 0.750, 0.750)
Sr (0.750, 0.250, 0.250)
P (0.115, 0.616, 0.235)
P (0.384, 0.885, 0.265)
P (0.616, 0.115, 0.735)
P (0.885, 0.384, 0.765)
H (0.070, 0.308, 0.902)
H (0.189, 0.432, 0.358)
H (0.308, 0.070, 0.402)
H (0.432, 0.189, 0.858)
H (0.568, 0.811, 0.142)
H (0.692, 0.930, 0.598)
H (0.811, 0.568, 0.642)
H (0.930, 0.692, 0.098)
O (0.012, 0.818, 0.394)
O (0.182, 0.988, 0.106)
O (0.318, 0.511, 0.087)
O (0.489, 0.682, 0.413)
O (0.511, 0.318, 0.587)
O (0.682, 0.489, 0.913)
O (0.818, 0.012, 0.894)
O (0.988, 0.182, 0.606)